Simulated XRD peak list
Compound: CaDyEr14
Radiation: Cu Kα (weighted mean of Kα1 and Kα2)
Structure: DFT lattice parameters and positions (PBE)

Structural model:
```
CaDyEr14
1.0
11.178 0.000 0.000
0.000 3.597 6.232
0.000 -3.597 6.232
Ca Dy Er
1 1 14
Cartesian
0.000 0.000 0.000
0.000 0.000 6.227
0.000 -1.794 3.117
0.000 1.794 3.117
2.766 0.000 4.154
2.844 0.000 10.361
2.847 -1.777 7.284
2.847 1.777 7.284
5.589 0.000 12.464
5.589 1.798 9.348
5.589 -1.798 9.348
5.589 0.000 6.234
8.331 -1.777 7.284
8.331 1.777 7.284
8.334 0.000 10.361
8.413 0.000 4.154
```

Top 10 peaks for 10 to 90 degrees two-theta, most intense first:
32.9°, I 100
28.7°, I 24
32.0°, I 24
61.3°, I 22
57.6°, I 20
50.8°, I 20
61.8°, I 16
43.5°, I 16
84.0°, I 14
88.6°, I 8